Calculated XRD peak list of Zn2HPd8 for Cu Ka, from a cell relaxed with GGA-PBE.
No peak broadening, texture or thermal motion is included.

Structure:
```
Zn2HPd8
1.0
-2.7352 6.6940 2.1015
2.7352 -6.6940 2.1015
2.7352 6.6940 -2.1015
Zn H Pd
2 1 8
direct
0.1918 0.0000 0.1918
0.8082 0.0000 0.8082
0.5516 0.0516 0.5000
0.0011 0.0011 0.0000
0.0015 0.5015 0.5000
0.2045 0.4998 0.7048
0.3928 0.2522 0.6454
0.3928 0.7474 0.1406
0.6068 0.2522 0.8594
0.6068 0.7474 0.3546
0.7950 0.4998 0.2952
```

Top 10 peaks for 15 to 90 degrees two-theta, in order of rising 2θ:
| two_theta | I_rel |
| --- | --- |
| 39.9 | 100 |
| 42.7 | 22 |
| 43.0 | 22 |
| 53.0 | 8 |
| 62.2 | 14 |
| 70.5 | 7 |
| 76.3 | 9 |
| 76.8 | 14 |
| 82.5 | 12 |
| 84.5 | 6 |

***

Calculated XRD peak list of PmPr4H10 for Cu Ka, from a cell relaxed with GGA-PBE.
No peak broadening, texture or thermal motion is included.

Structure:
```
PmPr4H10
1.0
1.9482 1.1248 15.9186
-1.9482 1.1248 15.9186
0.0000 -2.2496 15.9186
Pm Pr H
1 4 10
direct
0.0000 0.0000 0.0000
0.2002 0.2002 0.2002
0.3994 0.3994 0.3994
0.6006 0.6006 0.6006
0.7998 0.7998 0.7998
0.0490 0.0490 0.0490
0.1500 0.1500 0.1500
0.2504 0.2504 0.2504
0.3490 0.3490 0.3490
0.4495 0.4495 0.4495
0.5505 0.5505 0.5505
0.6510 0.6510 0.6510
0.7496 0.7496 0.7496
0.8500 0.8500 0.8500
0.9510 0.9510 0.9510
```

Top 9 peaks for 15 to 90 degrees two-theta, in order of rising 2θ:
| two_theta | I_rel |
| --- | --- |
| 28.0 | 100 |
| 32.5 | 49 |
| 46.6 | 38 |
| 55.3 | 45 |
| 58.0 | 13 |
| 68.0 | 6 |
| 75.1 | 18 |
| 77.4 | 16 |
| 86.5 | 13 |

***

Calculated XRD peak list of Pm2PrH6 for Cu Ka, from a cell relaxed with GGA-PBE.
No peak broadening, texture or thermal motion is included.

Structure:
```
Pm2PrH6
1.0
-1.9275 1.9275 8.1772
1.9275 -1.9275 8.1772
1.9275 1.9275 -8.1772
Pm Pr H
2 1 6
direct
0.1677 0.1677 0.0000
0.8323 0.8323 0.0000
0.5000 0.5000 0.0000
0.0861 0.5861 0.5000
0.2500 0.7500 0.5000
0.4139 0.9139 0.5000
0.5861 0.0861 0.5000
0.7500 0.2500 0.5000
0.9139 0.4139 0.5000
```

Top 9 peaks for 15 to 90 degrees two-theta, in order of rising 2θ:
| two_theta | I_rel |
| --- | --- |
| 28.4 | 100 |
| 32.9 | 49 |
| 47.2 | 38 |
| 55.9 | 45 |
| 58.7 | 13 |
| 68.9 | 6 |
| 76.1 | 18 |
| 78.5 | 16 |
| 87.7 | 13 |

***

Calculated XRD peak list of PmPr4H8 for Cu Ka, from a cell relaxed with GGA-PBE.
No peak broadening, texture or thermal motion is included.

Structure:
```
PmPr4H8
1.0
5.9569 0.0000 0.0000
0.0000 5.9569 0.0000
0.0000 0.0000 5.9569
Pm Pr H
1 4 8
direct
0.0000 0.0000 0.0000
0.0000 0.0000 0.5000
0.0000 0.5000 0.0000
0.5000 0.0000 0.0000
0.5000 0.5000 0.5000
0.2369 0.2369 0.2369
0.2369 0.2369 0.7631
0.2369 0.7631 0.2369
0.2369 0.7631 0.7631
0.7631 0.2369 0.2369
0.7631 0.2369 0.7631
0.7631 0.7631 0.2369
0.7631 0.7631 0.7631
```

Top 10 peaks for 15 to 90 degrees two-theta, in order of rising 2θ:
| two_theta | I_rel |
| --- | --- |
| 21.1 | 21 |
| 25.9 | 70 |
| 30.0 | 100 |
| 42.9 | 80 |
| 50.8 | 33 |
| 53.3 | 27 |
| 62.4 | 13 |
| 68.7 | 13 |
| 70.7 | 35 |
| 78.7 | 27 |

***

Repeat the first record exactly.
Calculated XRD peak list of Zn2HPd8 for Cu Ka, from a cell relaxed with GGA-PBE.
No peak broadening, texture or thermal motion is included.

Structure:
```
Zn2HPd8
1.0
-2.7352 6.6940 2.1015
2.7352 -6.6940 2.1015
2.7352 6.6940 -2.1015
Zn H Pd
2 1 8
direct
0.1918 0.0000 0.1918
0.8082 0.0000 0.8082
0.5516 0.0516 0.5000
0.0011 0.0011 0.0000
0.0015 0.5015 0.5000
0.2045 0.4998 0.7048
0.3928 0.2522 0.6454
0.3928 0.7474 0.1406
0.6068 0.2522 0.8594
0.6068 0.7474 0.3546
0.7950 0.4998 0.2952
```

Top 10 peaks for 15 to 90 degrees two-theta, in order of rising 2θ:
| two_theta | I_rel |
| --- | --- |
| 39.9 | 100 |
| 42.7 | 22 |
| 43.0 | 22 |
| 53.0 | 8 |
| 62.2 | 14 |
| 70.5 | 7 |
| 76.3 | 9 |
| 76.8 | 14 |
| 82.5 | 12 |
| 84.5 | 6 |